Record 1
# CsPaFeSe4
Theoretical powder diffractogram, copper Kα. Input: a crystal structure in Alexandria, relaxed with GGA-PBE.

Largest 10 diffraction maxima, by angle, 2θ = 15–90°:
h k l, 2θ/deg, Rel. int.
1 1 0, 19.6, 89
0 2 0, 27.0, 60
2 0 -2, 28.6, 67
1 1 2, 30.4, 100
1 2 0, 30.6, 53
2 1 -2, 31.7, 69
0 2 2, 33.0, 60
1 0 -4, 35.8, 62
2 2 0, 39.7, 68
3 1 0, 45.7, 46

Structure:
a = 6.612 Å, b = 6.612 Å, c = 10.036 Å
α = 90.00°, β = 109.25°, γ = 90.00°
Sites, in units of the cell vectors:
1 Cs 0.237 0.250 0.047
2 Cs 0.763 0.750 0.953
3 Pa 0.249 0.250 0.553
4 Pa 0.751 0.750 0.447
5 Fe 0.240 0.750 0.349
6 Fe 0.760 0.250 0.651
7 Se 0.021 0.512 0.687
8 Se 0.021 0.988 0.687
9 Se 0.429 0.750 0.185
10 Se 0.452 0.750 0.590
11 Se 0.548 0.250 0.410
12 Se 0.571 0.250 0.815
13 Se 0.979 0.012 0.313
14 Se 0.979 0.488 0.313

Record 2
# TlCuAgBr4
Theoretical powder diffractogram, copper Kα. Input: a crystal structure in Alexandria, relaxed with GGA-PBE.

Largest 10 diffraction maxima, by angle, 2θ = 15–90°:
h k l, 2θ/deg, Rel. int.
1 1 0, 17.7, 62
0 2 0, 23.5, 77
0 1 2, 24.1, 38
1 2 0, 27.1, 65
1 0 2, 27.5, 100
0 2 2, 31.7, 54
2 1 -2, 32.0, 92
1 2 -2, 32.4, 53
2 2 0, 35.8, 65
0 4 0, 48.2, 40

Structure:
a = 6.920 Å, b = 7.556 Å, c = 8.736 Å
α = 90.00°, β = 104.11°, γ = 90.00°
Sites, in units of the cell vectors:
1 Tl 0.243 0.250 0.072
2 Tl 0.757 0.750 0.928
3 Cu 0.204 0.750 0.318
4 Cu 0.796 0.250 0.682
5 Ag 0.280 0.250 0.644
6 Ag 0.720 0.750 0.356
7 Br 0.033 0.008 0.735
8 Br 0.033 0.492 0.735
9 Br 0.380 0.750 0.101
10 Br 0.477 0.750 0.547
11 Br 0.523 0.250 0.453
12 Br 0.620 0.250 0.899
13 Br 0.967 0.508 0.265
14 Br 0.967 0.992 0.265

Record 3
# BaZn3Sn3
Theoretical powder diffractogram, copper Kα. Input: a crystal structure in Alexandria, relaxed with GGA-PBE.

Largest 10 diffraction maxima, by angle, 2θ = 15–90°:
h k l, 2θ/deg, Rel. int.
2 0 0, 23.8, 42
2 1 1, 29.2, 100
2 2 2, 41.8, 24
3 2 1, 45.3, 60
4 0 0, 48.6, 29
4 2 0, 54.8, 17
3 3 2, 57.8, 15
5 2 1, 68.7, 17
4 4 0, 71.3, 19
6 1 1, 78.8, 18

Structure:
a = 7.487 Å, b = 7.487 Å, c = 7.487 Å
α = 90.00°, β = 90.00°, γ = 90.00°
Sites, in units of the cell vectors:
1 Ba 0.000 0.000 0.000
2 Ba 0.500 0.500 0.500
3 Zn 0.000 0.250 0.500
4 Zn 0.000 0.750 0.500
5 Zn 0.250 0.500 0.000
6 Zn 0.500 0.000 0.250
7 Zn 0.500 0.000 0.750
8 Zn 0.750 0.500 0.000
9 Sn 0.000 0.500 0.250
10 Sn 0.000 0.500 0.750
11 Sn 0.250 0.000 0.500
12 Sn 0.500 0.250 0.000
13 Sn 0.500 0.750 0.000
14 Sn 0.750 0.000 0.500